This entry pairs a crystal structure of NiHS2 with its calculated powder diffractogram. Radiation: Cu Kα (λ = 1.5418 Å). Structure: a structure optimized by DFT (GGA-PBE).
Intensities are scaled so that the largest is 1000.

Main lines, in order of falling intensity (2θ from 15° to 90°):
- hkl 0 1 1, d = 3.793 Å, 23.45 deg, I = 1000
- hkl 1 2 1, d = 1.929 Å, 47.12 deg, I = 567
- hkl 1 1 1, d = 2.575 Å, 34.84 deg, I = 459
- hkl 1 1 0, d = 2.879 Å, 31.06 deg, I = 403
- hkl 1 1 2, d = 2.036 Å, 44.50 deg, I = 364
- hkl 1 0 3, d = 1.684 Å, 54.48 deg, I = 312
- hkl 0 2 2, d = 1.897 Å, 47.97 deg, I = 251
- hkl 0 1 2, d = 2.501 Å, 35.91 deg, I = 232
- hkl 2 2 2, d = 1.288 Å, 73.55 deg, I = 202
- hkl 2 0 0, d = 1.754 Å, 52.16 deg, I = 186

Structural model:
abc: 3.5074 5.0405 5.7599
angles: 90.00 90.00 90.00
Space group Pmn2_1 (No. 31)
Unique sites:
Ni 0.0000 0.2452 0.0000
H 0.0000 0.2904 0.4852
S 0.0000 0.5239 0.3370
S 0.0000 0.9772 0.6604